The following is a simulated powder X-ray diffraction pattern of PaPb2S4Cl. It was derived from a structure optimized by DFT (PBE), using CuKα.
Lines closer than 0.1° are merged.

Cell and atoms:
```
data_PaPb2S4Cl
_space_group_name_H-M_alt 'C 1 2/m 1'
_space_group_IT_number 12
_cell_length_a 14.2853
_cell_length_b 4.1258
_cell_length_c 10.7616
_cell_angle_alpha 90.00
_cell_angle_beta 128.37
_cell_angle_gamma 90.00
loop_
_space_group_symop_operation_xyz
'x,y,z'
'-x,-y,-z'
'-x,y,-z'
'x,-y,z'
'x+1/2,y+1/2,z'
'-x+1/2,-y+1/2,-z'
'-x+1/2,y+1/2,-z'
'x+1/2,-y+1/2,z'
loop_
_atom_site_label
_atom_site_fract_x
_atom_site_fract_y
_atom_site_fract_z
Pa1 0.0000 0.0000 0.0000
Pb1 0.2027 0.0000 0.6406
S1 0.1267 0.5000 0.0144
S2 0.1409 0.0000 0.3109
Cl1 0.0000 0.5000 0.5000
```

Largest 8 diffraction maxima, sorted by position, 5 to 70 degrees two-theta:
2theta  I (rel.)  index
12.4  56  2 0 -1
16.7  88  2 0 -2
23.9  36  2 0 1
27.7  49  1 1 -2
29.0  100  3 1 -1
31.8  31  0 0 3
39.0  35  5 1 -3
40.1  30  3 1 -4

***

The following is a simulated powder X-ray diffraction pattern of CaCePb. It was derived from a structure optimized by DFT (PBE), using CuKα.
Lines closer than 0.1° are merged.

Cell and atoms:
```
data_CaCePb
_space_group_name_H-M_alt 'I 4 m m'
_space_group_IT_number 107
_space_group_name_Hall 'I 4 -2'
_cell_length_a 3.6537
_cell_length_b 3.6537
_cell_length_c 14.7918
_cell_angle_alpha 90.00
_cell_angle_beta 90.00
_cell_angle_gamma 90.00
loop_
_atom_site_label
_atom_site_fract_x
_atom_site_fract_y
_atom_site_fract_z
Ca1 0.0000 0.0000 0.0000
Ce1 0.0000 0.0000 0.7024
Pb1 0.0000 0.0000 0.3513
```

Largest 8 diffraction maxima, sorted by position, 5 to 70 degrees two-theta:
2theta  I (rel.)  index
12.0  45  0 0 2
25.1  17  1 0 1
30.5  100  1 0 3
34.7  37  1 1 0
39.2  19  1 0 5
49.9  14  2 0 0
51.2  21  1 1 6
59.6  30  2 1 3

***

The following is a simulated powder X-ray diffraction pattern of Nd7TlAg4. It was derived from a structure optimized by DFT (PBE), using CuKα.
Lines closer than 0.1° are merged.

Cell and atoms:
```
data_Nd7TlAg4
_space_group_name_H-M_alt 'C 1 2/m 1'
_space_group_IT_number 12
_cell_length_a 14.7822
_cell_length_b 5.8609
_cell_length_c 9.4588
_cell_angle_alpha 90.00
_cell_angle_beta 121.17
_cell_angle_gamma 90.00
loop_
_space_group_symop_operation_xyz
'x,y,z'
'-x,-y,-z'
'-x,y,-z'
'x,-y,z'
'x+1/2,y+1/2,z'
'-x+1/2,-y+1/2,-z'
'-x+1/2,y+1/2,-z'
'x+1/2,-y+1/2,z'
loop_
_atom_site_label
_atom_site_fract_x
_atom_site_fract_y
_atom_site_fract_z
Nd1 0.0000 0.0000 0.0000
Nd2 0.0744 0.5000 0.4052
Nd3 0.1853 0.5000 0.8879
Nd4 0.2240 0.0000 0.6875
Tl1 0.0000 0.5000 0.0000
Ag1 0.0219 0.0000 0.6825
Ag2 0.1892 0.0000 0.3422
```

Largest 8 diffraction maxima, sorted by position, 5 to 70 degrees two-theta:
2theta  I (rel.)  index
30.5  100  0 2 0
31.8  15  2 0 2
32.5  19  3 1 -3
33.2  14  0 0 3
34.8  41  5 1 -1
43.6  19  4 2 -3
44.7  12  2 2 2
45.7  11  0 2 3

***

The following is a simulated powder X-ray diffraction pattern of RbNaPb2Cl6. It was derived from a structure optimized by DFT (PBE), using CuKα.
Lines closer than 0.1° are merged.

Cell and atoms:
```
data_RbNaPb2Cl6
_space_group_name_H-M_alt 'R 3'
_space_group_IT_number 146
_space_group_name_Hall 'R 3'
_cell_length_a 7.5842
_cell_length_b 7.5842
_cell_length_c 19.8788
_cell_angle_alpha 90.00
_cell_angle_beta 90.00
_cell_angle_gamma 120.00
loop_
_atom_site_label
_atom_site_fract_x
_atom_site_fract_y
_atom_site_fract_z
Rb1 0.0000 0.0000 0.0000
Na1 0.0000 0.0000 0.4803
Pb1 0.0000 0.0000 0.2784
Pb2 0.0000 0.0000 0.7871
Cl1 0.0071 0.3159 0.8748
Cl2 0.0276 0.6073 0.0455
```

Largest 8 diffraction maxima, sorted by position, 5 to 70 degrees two-theta:
2theta  I (rel.)  index
16.2  100  0 1 2
22.4  79  1 0 4
23.5  63  1 1 0
32.7  48  0 2 4
36.0  60  2 -1 6
37.3  23  1 2 2
40.6  42  3 -1 4
41.2  37  3 0 0